Entry 1:
# HoGa2Fe
Theoretical powder X-ray diffraction pattern, Cu Kα X-rays. Input: a crystal structure in Alexandria, relaxed with GGA-PBE.
Neutral-atom scattering factors, no anomalous dispersion.

Largest 10 diffraction maxima, sorted by position, 10° ≤ 2θ ≤ 80°:
- 2θ 26.27, d = 3.392 Å, rel. 19, (2 0 0)
- 2θ 29.82, d = 2.996 Å, rel. 14, (1 0 3)
- 2θ 35.25, d = 2.546 Å, rel. 68, (2 1 1)
- 2θ 36.93, d = 2.434 Å, rel. 100, (1 1 3)
- 2θ 38.30, d = 2.350 Å, rel. 20, (1 0 4)
- 2θ 38.64, d = 2.330 Å, rel. 14, (2 1 2)
- 2θ 43.37, d = 2.086 Å, rel. 36, (0 2 0)
- 2θ 43.79, d = 2.067 Å, rel. 16, (2 1 3)
- 2θ 43.93, d = 2.061 Å, rel. 14, (3 0 2)
- 2θ 75.33, d = 1.262 Å, rel. 12, (1 3 3)

Crystal structure
```
data_HoGa2Fe
_cell_length_a 6.7847
_cell_length_b 4.1728
_cell_length_c 10.0196
_cell_angle_alpha 90.00
_cell_angle_beta 90.00
_cell_angle_gamma 90.00
_space_group_name_H-M_alt 'P n m a'
_space_group_IT_number 62
loop_
_space_group_symop_operation_xyz
'x,y,z'
'-x,-y,-z'
'-x+1/2,-y,z+1/2'
'x+1/2,y,-z+1/2'
'x+1/2,-y+1/2,-z+1/2'
'-x+1/2,y+1/2,z+1/2'
'-x,y+1/2,-z'
'x,-y+1/2,z'
loop_
_atom_site_label
_atom_site_fract_x
_atom_site_fract_y
_atom_site_fract_z
Ho1 0.2111 0.2500 0.1596
Ga1 0.0966 0.2500 0.8291
Ga2 0.2331 0.7500 0.9539
Fe1 0.0384 0.7500 0.4191
```

***

Entry 2:
# GaFe3Ir4
Theoretical powder X-ray diffraction pattern, Cu Kα X-rays. Input: a crystal structure in Alexandria, relaxed with GGA-PBE.
Neutral-atom scattering factors, no anomalous dispersion.

Largest 10 diffraction maxima, sorted by position, 10° ≤ 2θ ≤ 80°:
- 2θ 22.28, d = 3.990 Å, rel. 13, (1 0 1)
- 2θ 28.61, d = 3.120 Å, rel. 38, (2 0 1)
- 2θ 32.09, d = 2.789 Å, rel. 20, (0 2 0)
- 2θ 39.41, d = 2.286 Å, rel. 24, (1 2 1)
- 2θ 41.52, d = 2.175 Å, rel. 19, (1 0 2)
- 2θ 41.66, d = 2.168 Å, rel. 40, (4 0 0)
- 2θ 43.52, d = 2.080 Å, rel. 100, (2 2 1)
- 2θ 45.46, d = 1.995 Å, rel. 17, (2 0 2)
- 2θ 71.49, d = 1.320 Å, rel. 12, (0 2 3)
- 2θ 77.32, d = 1.234 Å, rel. 18, (6 2 1)

Crystal structure
```
data_GaFe3Ir4
_cell_length_a 8.6724
_cell_length_b 5.5789
_cell_length_c 4.4940
_cell_angle_alpha 90.00
_cell_angle_beta 90.00
_cell_angle_gamma 90.00
_space_group_name_H-M_alt 'P m m a'
_space_group_IT_number 51
loop_
_space_group_symop_operation_xyz
'x,y,z'
'-x,-y,-z'
'-x+1/2,-y,z'
'x+1/2,y,-z'
'x+1/2,-y,-z'
'-x+1/2,y,z'
'-x,y,-z'
'x,-y,z'
loop_
_atom_site_label
_atom_site_fract_x
_atom_site_fract_y
_atom_site_fract_z
Ga1 0.0000 0.0000 0.0000
Fe1 0.0000 0.5000 0.0000
Fe2 0.2500 0.0000 0.3763
Fe3 0.2500 0.5000 0.3630
Ir1 0.0000 0.2542 0.5000
Ir2 0.2500 0.2532 0.8713
```

***

Entry 3:
# LaMgGa2Fe
Theoretical powder X-ray diffraction pattern, Cu Kα X-rays. Input: a crystal structure in Alexandria, relaxed with GGA-PBE.
Neutral-atom scattering factors, no anomalous dispersion.

Largest 10 diffraction maxima, sorted by position, 10° ≤ 2θ ≤ 80°:
- 2θ 26.84, d = 3.321 Å, rel. 81, (1 0 1)
- 2θ 33.17, d = 2.701 Å, rel. 100, (1 1 1)
- 2θ 37.83, d = 2.378 Å, rel. 38, (0 0 2)
- 2θ 38.82, d = 2.320 Å, rel. 70, (2 0 0)
- 2θ 47.82, d = 1.902 Å, rel. 33, (2 1 1)
- 2θ 55.32, d = 1.661 Å, rel. 49, (2 0 2)
- 2θ 56.06, d = 1.640 Å, rel. 23, (2 2 0)
- 2θ 65.37, d = 1.428 Å, rel. 14, (1 1 3)
- 2θ 66.71, d = 1.402 Å, rel. 26, (3 1 1)
- 2θ 69.63, d = 1.350 Å, rel. 24, (2 2 2)

Crystal structure
```
data_LaMgGa2Fe
_cell_length_a 4.6399
_cell_length_b 4.6399
_cell_length_c 4.7565
_cell_angle_alpha 90.00
_cell_angle_beta 90.00
_cell_angle_gamma 90.00
_space_group_name_H-M_alt 'P 4/m m m'
_space_group_IT_number 123
_space_group_name_Hall '-P 4 2'
loop_
_atom_site_label
_atom_site_fract_x
_atom_site_fract_y
_atom_site_fract_z
La1 0.0000 0.0000 0.0000
Mg1 0.5000 0.5000 0.0000
Ga1 0.0000 0.5000 0.5000
Fe1 0.5000 0.5000 0.5000
```